# Mg2Ta2MnO8
Computed PXRD pattern, Cu Ka. Input: DFT lattice parameters and positions (GGA+U).

Structure:
```
data_Mg2Ta2MnO8
_symmetry_space_group_name_H-M 'C 1 2/c 1'
_symmetry_Int_Tables_number 15
_cell_length_a 19.453
_cell_length_b 6.041
_cell_length_c 5.231
_cell_angle_alpha 90.00
_cell_angle_beta 90.48
_cell_angle_gamma 90.00
loop_
_symmetry_equiv_pos_as_xyz
'x,y,z'
'-x,-y,-z'
'-x,y,-z+1/2'
'x,-y,z+1/2'
'x+1/2,y+1/2,z'
'-x+1/2,-y+1/2,-z'
'-x+1/2,y+1/2,-z+1/2'
'x+1/2,-y+1/2,z+1/2'
loop_
_atom_site_label
_atom_site_type_symbol
_atom_site_fract_x
_atom_site_fract_y
_atom_site_fract_z
_atom_site_occupancy
Mg1 Mg 0.228 0.143 0.246 1
Ta1 Ta 0.118 0.336 0.742 1
Mn1 Mn 0.000 0.159 0.250 1
O1 O 0.061 0.128 0.595 1
O2 O 0.074 0.393 0.072 1
O3 O 0.187 0.395 0.455 1
O4 O 0.192 0.146 0.880 1
```

The 10 most intense peaks (2θ from 10° to 80°), by intensity:
34.3 deg, d = 2.615 Å, rel. 1000, (0 0 2)
23.0 deg, d = 3.874 Å, rel. 883, (1 1 1)
18.2 deg, d = 4.863 Å, rel. 742, (4 0 0)
32.4 deg, d = 2.764 Å, rel. 597, (5 1 1)
26.3 deg, d = 3.386 Å, rel. 571, (3 1 -1)
32.2 deg, d = 2.782 Å, rel. 553, (5 1 -1)
51.1 deg, d = 1.788 Å, rel. 441, (8 0 -2)
26.5 deg, d = 3.366 Å, rel. 430, (3 1 1)
27.3 deg, d = 3.271 Å, rel. 397, (5 1 0)
39.2 deg, d = 2.299 Å, rel. 384, (4 2 1)